LiVSiO4: simulated powder XRD pattern (Cu Ka), based on DFT lattice parameters and positions (PBE+U).
Intensities are scaled so that the largest is 100.

Top 10 peaks for 10 to 90 degrees two-theta, in order of rising 2θ:
2theta  I_rel  index
11.88  100  0 1 1
18.85  73  0 2 1
23.89  15  0 2 2
24.98  23  1 1 2
26.76  53  0 3 1
30.58  16  0 2 3
30.78  33  1 1 -3
33.04  44  2 1 0
34.39  17  2 1 1
34.95  28  1 2 3

Structural model:
a b c (Å): 5.615 10.511 10.561
angles (deg): 90.00 91.72 90.00
Fractional coordinates of all 56 atoms:
Li: 0.099 0.154 0.270
Li: 0.099 0.346 0.770
Li: 0.379 0.617 0.084
Li: 0.379 0.883 0.584
Li: 0.621 0.117 0.416
Li: 0.621 0.383 0.916
Li: 0.901 0.654 0.230
Li: 0.901 0.846 0.730
V: 0.151 0.631 0.522
V: 0.151 0.869 0.022
V: 0.341 0.088 0.767
V: 0.341 0.412 0.267
V: 0.659 0.588 0.733
V: 0.659 0.912 0.233
V: 0.849 0.131 0.978
V: 0.849 0.369 0.478
Si: 0.117 0.593 0.836
Si: 0.117 0.907 0.336
Si: 0.403 0.148 0.070
Si: 0.403 0.352 0.570
Si: 0.597 0.648 0.430
Si: 0.597 0.852 0.930
Si: 0.883 0.093 0.664
Si: 0.883 0.407 0.164
O: 0.030 0.666 0.698
O: 0.030 0.834 0.198
O: 0.110 0.508 0.155
O: 0.110 0.992 0.655
O: 0.137 0.696 0.952
O: 0.137 0.804 0.452
O: 0.156 0.064 0.069
O: 0.156 0.436 0.569
O: 0.357 0.241 0.671
O: 0.357 0.259 0.171
O: 0.359 0.566 0.383
O: 0.359 0.934 0.883
O: 0.363 0.510 0.824
O: 0.363 0.990 0.324
O: 0.484 0.189 0.925
O: 0.484 0.311 0.425
O: 0.516 0.689 0.575
O: 0.516 0.811 0.075
O: 0.637 0.010 0.676
O: 0.637 0.490 0.176
O: 0.641 0.066 0.117
O: 0.641 0.434 0.617
O: 0.643 0.741 0.829
O: 0.643 0.759 0.329
O: 0.844 0.564 0.431
O: 0.844 0.936 0.931
O: 0.863 0.196 0.548
O: 0.863 0.304 0.048
O: 0.890 0.008 0.345
O: 0.890 0.492 0.845
O: 0.970 0.166 0.802
O: 0.970 0.334 0.302